(1)
The following is a simulated powder diffraction line list of EuCl3. It was derived from a crystal structure in the Materials Project, relaxed with PBE, using Cu Kα.

Most intense lines, 10° ≤ 2θ ≤ 90°, by intensity:
d = 6.549 Å, 13.52°, rel. 1000; d = 2.590 Å, 34.63°, rel. 891; d = 2.137 Å, 42.30°, rel. 746; d = 3.555 Å, 25.05°, rel. 664; d = 3.781 Å, 23.53°, rel. 454; d = 2.183 Å, 41.36°, rel. 336

Structural model:
Cell: 7.5622 7.5622 4.2335 Å, 90.00 90.00 120.00°
Fractional positions:
Eu 0.3333 0.6667 0.2500
Eu 0.6667 0.3333 0.7500
Cl 0.0866 0.3903 0.7500
Cl 0.3037 0.9134 0.7500
Cl 0.3903 0.3037 0.2500
Cl 0.6097 0.6963 0.7500
Cl 0.6963 0.0866 0.2500
Cl 0.9134 0.6097 0.2500

(2)
The following is a simulated powder diffraction line list of Li2InCuCl6. It was derived from a crystal structure in the Materials Project, relaxed with PBE, using Cu Kα.

Most intense lines, 10° ≤ 2θ ≤ 90°, by intensity:
d = 5.009 Å, 17.71°, rel. 1000; d = 2.240 Å, 40.26°, rel. 461; d = 2.505 Å, 35.85°, rel. 445; d = 1.771 Å, 51.61°, rel. 284; d = 1.670 Å, 55.00°, rel. 216; d = 3.542 Å, 25.14°, rel. 201

Structural model:
Cell: 7.0839 7.0839 7.0839 Å, 60.00 60.00 60.00°
Fractional positions:
Li 0.2500 0.2500 0.2500
Li 0.7500 0.7500 0.7500
In 0.0000 0.0000 0.0000
Cu 0.5000 0.5000 0.5000
Cl 0.2542 0.2542 0.7458
Cl 0.2542 0.7458 0.2542
Cl 0.2542 0.7458 0.7458
Cl 0.7458 0.2542 0.2542
Cl 0.7458 0.2542 0.7458
Cl 0.7458 0.7458 0.2542

(3)
The following is a simulated powder diffraction line list of KCa3Mg3AlSi8O24. It was derived from a crystal structure in the Materials Project, relaxed with PBE, using Cu Kα.

Most intense lines, 10° ≤ 2θ ≤ 90°, by intensity:
d = 3.024 Å, 29.54°, rel. 1000; d = 2.534 Å, 35.42°, rel. 417; d = 2.556 Å, 35.11°, rel. 396; d = 2.924 Å, 30.57°, rel. 350; d = 2.970 Å, 30.09°, rel. 254; d = 3.257 Å, 27.38°, rel. 240

Structural model:
Cell: 5.3234 9.0016 9.7837 Å, 90.00 105.28 90.00°
Fractional positions:
K 0.0000 0.0000 0.0000
Ca 0.0000 0.8846 0.5000
Ca 0.5000 0.3829 0.0000
Ca 0.5000 0.4906 0.5000
Mg 0.0000 0.2803 0.5000
Mg 0.0000 0.5954 0.0000
Mg 0.5000 0.0942 0.5000
Al 0.5000 0.7871 0.0000
Si 0.1866 0.2815 0.2150
Si 0.1928 0.5990 0.7158
Si 0.3158 0.0922 0.7858
Si 0.3156 0.7822 0.2819
Si 0.6842 0.0922 0.2142
Si 0.6844 0.7822 0.7181
Si 0.8072 0.5990 0.2842
Si 0.8134 0.2815 0.7850
O 0.1083 0.6702 0.3416
O 0.1133 0.2080 0.8426
O 0.1983 0.4372 0.1359
O 0.2091 0.4421 0.6414
O 0.2255 0.0934 0.6139
O 0.2525 0.7643 0.1106
O 0.2752 0.2785 0.3869
O 0.2873 0.6141 0.8882
O 0.2872 0.9379 0.3562
O 0.3266 0.9321 0.8627
O 0.3866 0.7093 0.6449
O 0.3975 0.1775 0.1533
O 0.6025 0.1775 0.8467
O 0.6134 0.7093 0.3551
O 0.6734 0.9321 0.1373
O 0.7127 0.6141 0.1118
O 0.7128 0.9379 0.6438
O 0.7248 0.2785 0.6131
O 0.7475 0.7643 0.8894
O 0.7745 0.0934 0.3861
O 0.7909 0.4421 0.3586
O 0.8017 0.4372 0.8641
O 0.8867 0.2080 0.1574
O 0.8917 0.6702 0.6584

(4)
The following is a simulated powder diffraction line list of UPt. It was derived from a crystal structure in the Materials Project, relaxed with PBE, using Cu Kα.

Most intense lines, 10° ≤ 2θ ≤ 90°, by intensity:
d = 2.733 Å, 32.76°, rel. 1000; d = 2.752 Å, 32.53°, rel. 917; d = 2.667 Å, 33.60°, rel. 815; d = 2.213 Å, 40.77°, rel. 634; d = 2.223 Å, 40.57°, rel. 579; d = 2.245 Å, 40.17°, rel. 564

Structural model:
Cell: 5.7732 10.6692 5.8162 Å, 90.00 101.58 90.00°
Fractional positions:
U 0.1014 0.0000 0.1578
U 0.1106 0.2363 0.6532
U 0.3611 0.5096 0.4024
U 0.3614 0.7234 0.9086
U 0.6389 0.0096 0.5976
U 0.6386 0.2234 0.0914
U 0.8894 0.7363 0.3468
U 0.8986 0.5000 0.8422
Pt 0.1481 0.2687 0.1561
Pt 0.1482 0.9677 0.6638
Pt 0.4022 0.7740 0.4191
Pt 0.4137 0.4600 0.9112
Pt 0.5863 0.9600 0.0888
Pt 0.5978 0.2740 0.5809
Pt 0.8518 0.4677 0.3362
Pt 0.8519 0.7687 0.8439